# 1
Simulated powder diffractogram of Zr4MoC5 for Cu Kα, 1.54184 Å, from a structure optimized by DFT (GGA-PBE).
Peak positions follow from Bragg's law for the DFT cell and can differ from measured ones.

Principal peaks in the range 15° ≤ 2θ ≤ 90°, by angle:
33.37 deg, intensity 100
38.73 deg, intensity 77
55.93 deg, intensity 49
66.69 deg, intensity 30
66.79 deg, intensity 10
70.06 deg, intensity 12
70.23 deg, intensity 4
83.08 deg, intensity 7

Unit cell a=13.537 b=13.537 c=13.537 alpha=13.96 beta=13.96 gamma=13.96
Fractional coordinates of all 10 atoms:
Zr (0.102, 0.102, 0.102)
Zr (0.299, 0.299, 0.299)
Zr (0.701, 0.701, 0.701)
Zr (0.898, 0.898, 0.898)
Mo (0.500, 0.500, 0.500)
C (0.000, 0.000, 0.000)
C (0.196, 0.196, 0.196)
C (0.402, 0.402, 0.402)
C (0.598, 0.598, 0.598)
C (0.804, 0.804, 0.804)

# 2
Simulated powder diffractogram of Sc6TlS3 for Cu Kα, 1.54184 Å, from a structure optimized by DFT (GGA-PBE).
Peak positions follow from Bragg's law for the DFT cell and can differ from measured ones.

Principal peaks in the range 15° ≤ 2θ ≤ 90°, by angle:
17.27 deg, intensity 32
26.30 deg, intensity 46
32.18 deg, intensity 41
32.70 deg, intensity 100
33.01 deg, intensity 63
33.98 deg, intensity 36
45.86 deg, intensity 39
48.39 deg, intensity 34

Unit cell a=10.552 b=3.556 c=11.384 alpha=90.00 beta=103.33 gamma=90.00
Fractional coordinates of all 20 atoms:
Sc (0.030, 0.250, 0.135)
Sc (0.128, 0.750, 0.467)
Sc (0.194, 0.250, 0.745)
Sc (0.311, 0.750, 0.034)
Sc (0.316, 0.250, 0.277)
Sc (0.416, 0.250, 0.594)
Sc (0.584, 0.750, 0.406)
Sc (0.684, 0.750, 0.723)
Sc (0.689, 0.250, 0.966)
Sc (0.806, 0.750, 0.255)
Sc (0.872, 0.250, 0.533)
Sc (0.970, 0.750, 0.865)
Tl (0.449, 0.750, 0.827)
Tl (0.551, 0.250, 0.173)
S (0.025, 0.750, 0.652)
S (0.137, 0.250, 0.951)
S (0.354, 0.750, 0.435)
S (0.646, 0.250, 0.565)
S (0.863, 0.750, 0.049)
S (0.975, 0.250, 0.348)

# 3
Simulated powder diffractogram of La12PrY5 for Cu Kα, 1.54184 Å, from a structure optimized by DFT (GGA-PBE).
Peak positions follow from Bragg's law for the DFT cell and can differ from measured ones.

Principal peaks in the range 15° ≤ 2θ ≤ 90°, by angle:
29.63 deg, intensity 100
34.15 deg, intensity 34
34.74 deg, intensity 16
49.07 deg, intensity 12
49.51 deg, intensity 24
58.38 deg, intensity 29
59.16 deg, intensity 14
61.52 deg, intensity 12

Unit cell a=11.046 b=11.046 c=5.252 alpha=90.00 beta=90.00 gamma=90.94
Fractional coordinates of all 18 atoms:
La (0.001, 0.667, 0.500)
La (0.165, 0.165, 0.000)
La (0.167, 0.500, 0.000)
La (0.332, 0.332, 0.500)
La (0.333, 0.999, 0.500)
La (0.500, 0.167, 0.000)
La (0.500, 0.833, 0.000)
La (0.667, 0.001, 0.500)
La (0.668, 0.668, 0.500)
La (0.833, 0.500, 0.000)
La (0.835, 0.835, 0.000)
La (0.999, 0.333, 0.500)
Pr (0.500, 0.500, 0.000)
Y (0.000, 0.000, 0.500)
Y (0.167, 0.833, 0.000)
Y (0.333, 0.667, 0.500)
Y (0.667, 0.333, 0.500)
Y (0.833, 0.167, 0.000)

# 4
Simulated powder diffractogram of Tb5Pm8Tl for Cu Kα, 1.54184 Å, from a structure optimized by DFT (GGA-PBE).
Peak positions follow from Bragg's law for the DFT cell and can differ from measured ones.

Principal peaks in the range 15° ≤ 2θ ≤ 90°, by angle:
24.54 deg, intensity 31
29.80 deg, intensity 34
30.68 deg, intensity 98
30.99 deg, intensity 44
31.21 deg, intensity 76
31.39 deg, intensity 57
32.48 deg, intensity 100
32.56 deg, intensity 35

Unit cell a=8.827 b=8.827 c=8.521 alpha=117.47 beta=117.47 gamma=57.13
Fractional coordinates of all 14 atoms:
Tb (0.000, 0.000, 0.000)
Tb (0.229, 0.573, 0.045)
Tb (0.427, 0.771, 0.955)
Tb (0.611, 0.293, 0.727)
Tb (0.707, 0.389, 0.273)
Pm (0.070, 0.564, 0.583)
Pm (0.078, 0.170, 0.681)
Pm (0.371, 0.275, 0.279)
Pm (0.436, 0.930, 0.417)
Pm (0.543, 0.088, 0.929)
Pm (0.725, 0.629, 0.721)
Pm (0.830, 0.922, 0.319)
Pm (0.912, 0.457, 0.071)
Tl (0.293, 0.707, 0.500)